# 1
NaCaAlFeSi4O12: computed powder X-ray diffraction pattern (copper Kα), based on a PBE+U-relaxed structure.
No peak broadening, texture or thermal motion is included.

Crystal structure
Cell lengths 9.7339, 8.9338, 15.9781 Å; angles 90.00, 107.20, 90.00 degrees
Space group C2 (No. 5)
Inequivalent atoms, fractional coordinates:
Na  0.0000  0.0000  0.0000 x2
Na  0.0020  0.5977  0.8342 x4
Ca  0.0000  0.6016  0.5000 x2
Ca  0.0036  0.0007  0.6687 x4
Al  0.0000  0.4007  0.0000 x2
Al  0.0044  0.2033  0.8392 x4
Fe  0.0000  0.2092  0.5000 x2
Fe  0.0043  0.3950  0.6716 x4
Si  0.2067  0.8945  0.1699 x4
Si  0.2085  0.7056  0.0085 x4
Si  0.2093  0.7072  0.3354 x4
Si  0.2137  0.8914  0.5045 x4
Si  0.2146  0.8913  0.8450 x4
Si  0.2184  0.7121  0.6768 x4
O  0.1059  0.2110  0.2834 x4
O  0.1078  0.3731  0.1222 x4
O  0.1130  0.2240  0.9599 x4
O  0.1131  0.3924  0.4643 x4
O  0.1166  0.2111  0.6346 x4
O  0.1186  0.3707  0.8062 x4
O  0.1337  0.0585  0.1461 x4
O  0.1355  0.0528  0.8210 x4
O  0.1371  0.0482  0.4723 x4
O  0.1377  0.5406  0.9878 x4
O  0.1414  0.7890  0.0804 x4
O  0.1427  0.5467  0.3062 x4
O  0.1437  0.5545  0.6462 x4
O  0.1464  0.8253  0.2503 x4
O  0.1473  0.7796  0.4156 x4
O  0.1505  0.8020  0.9153 x4
O  0.1541  0.7999  0.7490 x4
O  0.1558  0.8153  0.5840 x4

Main lines, sorted by position (2θ = 10–80°):
| Position (°2θ) | d (Å) | intensity | index |
| --- | --- | --- | --- |
| 19.9 | 4.465 | 15.6 | 0 2 0 |
| 29.6 | 3.015 | 100.0 | 2 2 -3 |
| 30.5 | 2.928 | 38.5 | 3 1 0 |
| 30.7 | 2.914 | 16.2 | 3 1 -3 |
| 34.8 | 2.578 | 27.1 | 1 3 -3 |
| 35.3 | 2.544 | 37.6 | 0 0 6 |
| 35.9 | 2.500 | 38.3 | 2 2 3 |
| 42.2 | 2.142 | 19.6 | 3 3 -3 |
| 44.3 | 2.044 | 21.5 | 4 0 -6 |
| 55.9 | 1.646 | 15.9 | 2 2 -9 |
| 56.6 | 1.626 | 16.8 | 5 3 -3 |
| 66.3 | 1.410 | 17.0 | 5 3 3 |



# 2
Na8MgW2N4O4: computed powder X-ray diffraction pattern (copper Kα), based on a PBE+U-relaxed structure.
No peak broadening, texture or thermal motion is included.

Crystal structure
Cell lengths 6.0341, 6.0970, 9.3683 Å; angles 87.19, 71.38, 68.18 degrees
Space group P1 (No. 1)
Inequivalent atoms, fractional coordinates:
Na  0.0000  0.0000  0.0000 x1
Na  0.0164  0.5139  0.1321 x1
Na  0.1198  0.3934  0.7666 x1
Na  0.3387  0.0217  0.4331 x1
Na  0.4108  0.4816  0.3182 x1
Na  0.5282  0.4549  0.8915 x1
Na  0.5488  0.9699  0.7065 x1
Na  0.8947  0.9862  0.3418 x1
Mg  0.0384  0.8360  0.6748 x1
W  0.5013  0.9375  0.0449 x1
W  0.7532  0.4671  0.5544 x1
N  0.3099  0.1789  0.9579 x1
N  0.4095  0.6520  0.6598 x1
N  0.8043  0.7735  0.8943 x1
N  0.9180  0.1960  0.6468 x1
O  0.3048  0.7442  0.1194 x1
O  0.5889  0.0578  0.1945 x1
O  0.8109  0.3952  0.3394 x1
O  0.9523  0.6857  0.5190 x1

Main lines, sorted by position (2θ = 10–80°):
| Position (°2θ) | d (Å) | intensity | index |
| --- | --- | --- | --- |
| 16.5 | 5.380 | 68.8 | 1 0 1 |
| 16.7 | 5.298 | 46.3 | 1 0 0 |
| 18.0 | 4.938 | 100.0 | 0 1 -1 |
| 18.2 | 4.887 | 46.2 | 1 1 0 |
| 19.3 | 4.596 | 73.5 | 0 1 1 |
| 20.1 | 4.425 | 68.5 | 0 0 2 |
| 22.2 | 4.008 | 37.8 | 1 0 -1 |
| 23.8 | 3.738 | 35.9 | 1 1 2 |
| 30.2 | 2.957 | 38.2 | 1 1 -2 |
| 31.7 | 2.821 | 64.3 | 0 2 0 |
| 32.0 | 2.800 | 39.8 | 2 0 1 |
| 35.4 | 2.532 | 56.3 | 0 1 3 |



# 3
Na2W4O13: computed powder X-ray diffraction pattern (copper Kα), based on a PBE+U-relaxed structure.
No peak broadening, texture or thermal motion is included.

Crystal structure
Cell lengths 3.8519, 8.5347, 8.6970 Å; angles 83.68, 77.29, 89.95 degrees
Space group P-1 (No. 2)
Inequivalent atoms, fractional coordinates:
Na  0.2103  0.1944  0.0770 x2
W  0.3921  0.5201  0.6936 x2
W  0.4239  0.1316  0.6717 x2
O  0.0724  0.8563  0.3459 x2
O  0.0969  0.4924  0.3158 x2
O  0.3244  0.6493  0.8440 x2
O  0.3359  0.9865  0.8407 x2
O  0.3464  0.3067  0.8078 x2
O  0.4990  0.3460  0.5060 x2
O  0.5000  0.0000  0.5000 x1

Main lines, sorted by position (2θ = 10–80°):
| Position (°2θ) | d (Å) | intensity | index |
| --- | --- | --- | --- |
| 10.5 | 8.436 | 72.6 | 0 0 1 |
| 14.0 | 6.347 | 21.8 | 0 1 1 |
| 21.1 | 4.215 | 38.1 | 0 0 2 |
| 23.7 | 3.755 | 100.0 | 1 0 1 |
| 24.6 | 3.623 | 57.0 | 0 2 -1 |
| 28.1 | 3.174 | 39.8 | 0 2 2 |
| 31.6 | 2.827 | 20.9 | 0 3 0 |
| 31.8 | 2.810 | 20.7 | 0 0 3 |
| 32.2 | 2.777 | 33.6 | 1 -2 1 |
| 34.2 | 2.624 | 21.8 | -1 2 1 |
| 35.4 | 2.537 | 29.3 | 1 0 3 |
| 40.4 | 2.232 | 22.2 | 0 3 -2 |



# 4
LiAlCoO3: computed powder X-ray diffraction pattern (copper Kα), based on a PBE+U-relaxed structure.
No peak broadening, texture or thermal motion is included.

Crystal structure
Cell lengths 5.2975, 5.4281, 5.4627 Å; angles 65.51, 66.16, 66.04 degrees
Space group P-1 (No. 2)
Inequivalent atoms, fractional coordinates:
Li  0.0817  0.4232  0.2536 x2
Al  0.2467  0.9168  0.0812 x2
Co  0.4131  0.7413  0.5810 x2
O  0.0772  0.7835  0.9222 x2
O  0.2525  0.6108  0.3869 x2
O  0.4296  0.0746  0.2183 x2

Main lines, sorted by position (2θ = 10–80°):
| Position (°2θ) | d (Å) | intensity | index |
| --- | --- | --- | --- |
| 18.6 | 4.767 | 22.0 | 0 0 1 |
| 19.1 | 4.642 | 83.8 | 1 0 0 |
| 22.6 | 3.926 | 100.0 | 1 1 0 |
| 30.3 | 2.946 | 61.3 | 0 1 -1 |
| 30.5 | 2.936 | 57.4 | 1 0 -1 |
| 30.6 | 2.922 | 55.3 | 1 -1 0 |
| 38.0 | 2.368 | 32.8 | 0 2 0 |
| 43.1 | 2.098 | 78.1 | 2 2 2 |
| 53.9 | 1.702 | 36.8 | 1 1 -2 |
| 54.2 | 1.694 | 36.3 | 1 -2 1 |
| 54.4 | 1.687 | 36.5 | -2 1 1 |
| 70.4 | 1.337 | 27.3 | 1 1 4 |



# 5
BaMnSnWO6: computed powder X-ray diffraction pattern (copper Kα), based on a PBE+U-relaxed structure.
No peak broadening, texture or thermal motion is included.

Crystal structure
Cell lengths 8.2641, 8.2641, 8.2641 Å; angles 90.00, 90.00, 90.00 degrees
Space group F-43m (No. 216)
Inequivalent atoms, fractional coordinates:
Ba  0.0000  0.0000  0.0000 x4
Mn  0.2500  0.2500  0.7500 x4
Sn  0.0000  0.0000  0.5000 x4
W  0.2500  0.2500  0.2500 x4
O  0.0135  0.2500  0.2500 x24

Main lines, sorted by position (2θ = 10–80°):
| Position (°2θ) | d (Å) | intensity | index |
| --- | --- | --- | --- |
| 18.6 | 4.771 | 18.7 | 1 1 1 |
| 30.6 | 2.922 | 100.0 | 2 2 0 |
| 36.0 | 2.492 | 9.3 | 3 1 1 |
| 37.7 | 2.386 | 2.3 | 2 2 2 |
| 43.8 | 2.066 | 30.2 | 4 0 0 |
| 48.0 | 1.896 | 3.7 | 3 3 1 |
| 54.4 | 1.687 | 40.4 | 4 2 2 |
| 58.0 | 1.590 | 3.9 | 5 1 1 |
| 63.7 | 1.461 | 18.8 | 4 4 0 |
| 67.0 | 1.397 | 3.8 | 5 3 1 |
| 72.3 | 1.307 | 18.0 | 6 2 0 |
| 75.4 | 1.260 | 1.2 | 5 3 3 |



# 6
LiNbCrO4: computed powder X-ray diffraction pattern (copper Kα), based on a PBE+U-relaxed structure.
No peak broadening, texture or thermal motion is included.

Crystal structure
Cell lengths 10.6026, 6.1644, 5.9387 Å; angles 90.00, 123.87, 90.00 degrees
Space group C2/m (No. 12)
Inequivalent atoms, fractional coordinates:
Li  0.1210  0.0000  0.3710 x4
Nb  0.0000  0.5000  0.0000 x2
Nb  0.0000  0.5000  0.5000 x2
Cr  0.2500  0.2500  0.0000 x4
O  0.0193  0.2580  0.7690 x8
O  0.2307  0.5000  0.2095 x4
O  0.2310  0.5000  0.7529 x4

Main lines, sorted by position (2θ = 10–80°):
| Position (°2θ) | d (Å) | intensity | index |
| --- | --- | --- | --- |
| 17.6 | 5.050 | 100.0 | 1 1 0 |
| 18.0 | 4.923 | 36.0 | 2 0 -1 |
| 33.8 | 2.650 | 15.6 | 3 1 0 |
| 34.3 | 2.612 | 12.5 | 2 2 -1 |
| 35.1 | 2.560 | 37.1 | 3 1 -2 |
| 35.6 | 2.525 | 12.6 | 2 2 0 |
| 41.0 | 2.201 | 23.1 | 4 0 0 |
| 42.3 | 2.138 | 44.5 | 2 2 -2 |
| 45.3 | 2.001 | 9.1 | 1 3 0 |
| 55.4 | 1.659 | 10.7 | 3 3 -2 |
| 60.3 | 1.536 | 14.1 | 2 2 2 |
| 60.4 | 1.532 | 14.0 | 6 2 -2 |



# 7
Li3FePCO7: computed powder X-ray diffraction pattern (copper Kα), based on a PBE+U-relaxed structure.
No peak broadening, texture or thermal motion is included.

Crystal structure
Cell lengths 5.2486, 6.5465, 8.3760 Å; angles 90.03, 90.17, 90.12 degrees
Space group P1 (No. 1)
Inequivalent atoms, fractional coordinates:
Li  0.0000  0.0000  0.0000 x1
Li  0.0003  0.4580  0.0007 x1
Li  0.0322  0.7286  0.3758 x1
Li  0.4975  0.4991  0.5780 x1
Li  0.4982  0.9574  0.5782 x1
Li  0.5307  0.2283  0.2022 x1
Fe  0.0654  0.2286  0.6085 x1
Fe  0.5665  0.7285  0.9702 x1
P  0.1179  0.7285  0.7048 x1
P  0.6193  0.2286  0.8738 x1
C  0.0587  0.2284  0.2979 x1
C  0.5555  0.7283  0.2803 x1
O  0.0609  0.5412  0.5958 x1
O  0.0626  0.9156  0.5956 x1
O  0.0758  0.2287  0.1443 x1
O  0.2694  0.2288  0.3828 x1
O  0.3384  0.7281  0.2057 x1
O  0.4093  0.7282  0.7417 x1
O  0.4700  0.2285  0.7139 x1
O  0.5639  0.0412  0.9827 x1
O  0.5646  0.4157  0.9830 x1
O  0.5688  0.7283  0.4341 x1
O  0.7676  0.7285  0.1978 x1
O  0.8404  0.2277  0.3701 x1
O  0.9104  0.2288  0.8369 x1
O  0.9701  0.7289  0.8648 x1

Main lines, sorted by position (2θ = 10–80°):
| Position (°2θ) | d (Å) | intensity | index |
| --- | --- | --- | --- |
| 10.6 | 8.376 | 42.8 | 0 0 1 |
| 17.2 | 5.158 | 12.4 | 0 1 1 |
| 20.0 | 4.447 | 70.2 | 1 0 1 |
| 21.7 | 4.095 | 20.0 | 1 1 0 |
| 24.2 | 3.679 | 18.9 | 1 -1 1 |
| 27.2 | 3.273 | 100.0 | 0 2 0 |
| 34.0 | 2.636 | 9.4 | 1 -2 1 |
| 34.2 | 2.624 | 22.3 | 2 0 0 |
| 42.8 | 2.111 | 11.5 | 0 3 -1 |
| 45.5 | 1.994 | 13.0 | 0 1 4 |
| 46.7 | 1.945 | 10.9 | 1 0 -4 |
| 56.2 | 1.637 | 10.4 | 0 4 0 |



# 8
Na5LiFe2P2C2O14: computed powder X-ray diffraction pattern (copper Kα), based on a PBE+U-relaxed structure.
No peak broadening, texture or thermal motion is included.

Crystal structure
Cell lengths 6.5973, 8.9987, 10.3994 Å; angles 90.99, 90.18, 90.70 degrees
Space group P-1 (No. 2)
Inequivalent atoms, fractional coordinates:
Na  0.9995  0.2390  0.1240 x2
Na  0.0015  0.7603  0.3754 x2
Na  0.2520  0.5826  0.1205 x2
Na  0.2542  0.5829  0.6191 x2
Na  0.4989  0.7602  0.8755 x2
Li  0.4956  0.7692  0.3767 x2
Fe  0.2505  0.1450  0.8915 x2
Fe  0.2517  0.1452  0.3939 x2
P  0.2532  0.9123  0.1514 x2
P  0.2540  0.9164  0.6491 x2
C  0.2521  0.4392  0.8646 x2
C  0.2565  0.4438  0.3669 x2
O  0.0614  0.8180  0.1118 x2
O  0.0609  0.8260  0.6058 x2
O  0.2480  0.5828  0.8566 x2
O  0.2503  0.0659  0.0881 x2
O  0.2510  0.3615  0.2625 x2
O  0.2513  0.3771  0.9769 x2
O  0.2511  0.3793  0.4779 x2
O  0.2531  0.9327  0.7984 x2
O  0.2567  0.3557  0.7610 x2
O  0.2623  0.9292  0.3011 x2
O  0.2646  0.0727  0.5893 x2
O  0.2667  0.5881  0.3603 x2
O  0.4365  0.8186  0.6053 x2
O  0.4377  0.8183  0.1058 x2

Main lines, sorted by position (2θ = 10–80°):
| Position (°2θ) | d (Å) | intensity | index |
| --- | --- | --- | --- |
| 19.6 | 4.535 | 33.0 | 0 1 -2 |
| 19.9 | 4.468 | 28.7 | 0 1 2 |
| 26.0 | 3.431 | 29.6 | 0 2 -2 |
| 27.0 | 3.298 | 100.0 | 2 0 0 |
| 29.8 | 2.995 | 25.4 | 0 3 0 |
| 33.5 | 2.674 | 45.8 | 2 -2 0 |
| 33.6 | 2.664 | 33.3 | 2 1 -2 |
| 33.9 | 2.644 | 37.5 | 2 2 0 |
| 34.3 | 2.617 | 25.9 | 0 3 -2 |
| 34.5 | 2.599 | 68.5 | 0 0 4 |
| 48.7 | 1.869 | 24.4 | 2 -4 0 |
| 55.7 | 1.649 | 28.5 | 4 0 0 |



What is the formula in the second record? Na8MgW2N4O4



Number 2 is which compound? Na8MgW2N4O4